# 1
For Ca2Mg, a structure optimized by DFT (PBE) gives the simulated X-ray diffraction stick pattern in this record (Cu Ka).
Neutral-atom scattering factors, no anomalous dispersion.

Structural model:
a b c (Å): 6.3721 6.3721 5.9687
angles (deg): 90.00 90.00 120.00
Space group P-62m (No. 189)
Inequivalent atoms, fractional coordinates:
Ca 0.0000 0.0000 0.0000 [1 per cell]
Ca 0.0000 0.6531 0.5000 [3 per cell]
Mg 0.3333 0.6667 0.0000 [2 per cell]

Top 6 peaks for 15 to 90 degrees two-theta, sorted by position:
| 2θ/deg | I (rel.) | h k l |
| --- | --- | --- |
| 28.01 | 25 | 1 1 0 |
| 29.94 | 26 | 0 0 2 |
| 31.84 | 100 | 1 1 1 |
| 49.56 | 17 | 3 0 0 |
| 54.36 | 19 | 1 1 3 |
| 58.99 | 19 | 3 0 2 |

# 2
For PaGaAu2, a structure optimized by DFT (PBE) gives the simulated X-ray diffraction stick pattern in this record (Cu Ka).
Neutral-atom scattering factors, no anomalous dispersion.

Structural model:
a b c (Å): 6.932 6.932 6.932
angles (deg): 90.00 90.00 90.00
Space group Fm-3m (No. 225)
Inequivalent atoms, fractional coordinates:
Pa 0.000 0.000 0.000 [4 per cell]
Ga 0.000 0.000 0.500 [4 per cell]
Au 0.250 0.250 0.250 [8 per cell]

Top 6 peaks for 15 to 90 degrees two-theta, sorted by position:
| 2θ/deg | I (rel.) | h k l |
| --- | --- | --- |
| 22.21 | 11 | 1 1 1 |
| 36.67 | 100 | 2 2 0 |
| 52.82 | 18 | 4 0 0 |
| 66.02 | 37 | 4 2 2 |
| 77.96 | 12 | 4 4 0 |
| 89.39 | 17 | 6 2 0 |

# 3
For LaN, a structure optimized by DFT (PBE) gives the simulated X-ray diffraction stick pattern in this record (Cu Ka).
Neutral-atom scattering factors, no anomalous dispersion.

Structural model:
a b c (Å): 4.1329 4.1329 5.9601
angles (deg): 90.00 90.00 120.00
Space group P6_3mc (No. 186)
Inequivalent atoms, fractional coordinates:
La 0.3333 0.6667 0.0000 [2 per cell]
N 0.3333 0.6667 0.4125 [2 per cell]

Top 6 peaks for 15 to 90 degrees two-theta, sorted by position:
| 2θ/deg | I (rel.) | h k l |
| --- | --- | --- |
| 24.88 | 37 | 1 0 0 |
| 29.10 | 100 | 1 0 1 |
| 29.99 | 27 | 0 0 2 |
| 43.81 | 31 | 1 1 0 |
| 52.69 | 23 | 1 0 3 |
| 54.00 | 31 | 1 1 2 |

# 4
For Na2LiTlCl6, a structure optimized by DFT (PBE) gives the simulated X-ray diffraction stick pattern in this record (Cu Ka).
Neutral-atom scattering factors, no anomalous dispersion.

Structural model:
a b c (Å): 10.241 10.241 10.241
angles (deg): 90.00 90.00 90.00
Space group Fm-3m (No. 225)
Inequivalent atoms, fractional coordinates:
Na 0.250 0.250 0.250 [8 per cell]
Li 0.000 0.000 0.000 [4 per cell]
Tl 0.000 0.000 0.500 [4 per cell]
Cl 0.000 0.000 0.246 [24 per cell]

Top 6 peaks for 15 to 90 degrees two-theta, sorted by position:
| 2θ/deg | I (rel.) | h k l |
| --- | --- | --- |
| 17.32 | 100 | 2 0 0 |
| 24.59 | 51 | 2 2 0 |
| 28.92 | 82 | 3 1 1 |
| 35.05 | 71 | 4 0 0 |
| 39.35 | 48 | 4 2 0 |
| 50.41 | 47 | 4 4 0 |

# 5
For Mg6TiCo, a structure optimized by DFT (PBE) gives the simulated X-ray diffraction stick pattern in this record (Cu Ka).
Neutral-atom scattering factors, no anomalous dispersion.

Structural model:
a b c (Å): 4.840 5.853 10.867
angles (deg): 90.00 90.00 90.00
Space group Amm2 (No. 38)
Inequivalent atoms, fractional coordinates:
Mg 0.000 0.000 0.000 [2 per cell]
Mg 0.000 0.000 0.489 [2 per cell]
Mg 0.000 0.245 0.260 [4 per cell]
Mg 0.500 0.249 0.097 [4 per cell]
Ti 0.500 0.000 0.848 [2 per cell]
Co 0.500 0.000 0.343 [2 per cell]

Top 6 peaks for 15 to 90 degrees two-theta, sorted by position:
| 2θ/deg | I (rel.) | h k l |
| --- | --- | --- |
| 16.31 | 23 | 0 0 2 |
| 34.82 | 35 | 0 2 2 |
| 37.15 | 43 | 2 0 0 |
| 37.98 | 68 | 1 0 4 |
| 39.63 | 100 | 1 2 2 |
| 51.83 | 21 | 2 2 2 |

# 6
For NaErRe4O20, a structure optimized by DFT (PBE) gives the simulated X-ray diffraction stick pattern in this record (Cu Ka).
Neutral-atom scattering factors, no anomalous dispersion.

Structural model:
a b c (Å): 12.314 12.314 5.880
angles (deg): 90.00 90.00 90.00
Space group P-4n2 (No. 118)
Inequivalent atoms, fractional coordinates:
Na 0.000 0.000 0.000 [2 per cell]
Er 0.000 0.500 0.750 [2 per cell]
Re 0.090 0.218 0.477 [8 per cell]
O 0.024 0.136 0.676 [8 per cell]
O 0.047 0.185 0.203 [8 per cell]
O 0.060 0.359 0.533 [8 per cell]
O 0.067 0.646 0.979 [8 per cell]
O 0.195 0.771 0.500 [8 per cell]

Top 6 peaks for 15 to 90 degrees two-theta, sorted by position:
| 2θ/deg | I (rel.) | h k l |
| --- | --- | --- |
| 16.09 | 36 | 2 1 0 |
| 16.71 | 96 | 1 0 1 |
| 22.12 | 76 | 2 1 1 |
| 26.09 | 38 | 3 2 0 |
| 27.47 | 100 | 3 1 1 |
| 29.92 | 35 | 4 1 0 |

# 7
For Mn2Ni9N8, a structure optimized by DFT (PBE) gives the simulated X-ray diffraction stick pattern in this record (Cu Ka).
Neutral-atom scattering factors, no anomalous dispersion.

Structural model:
a b c (Å): 15.186 4.145 5.846
angles (deg): 90.00 106.71 90.00
Space group C2/m (No. 12)
Inequivalent atoms, fractional coordinates:
Mn 0.183 0.000 0.209 [4 per cell]
Ni 0.000 0.500 0.500 [2 per cell]
Ni 0.023 0.000 0.283 [4 per cell]
Ni 0.100 0.500 0.988 [4 per cell]
Ni 0.158 0.500 0.466 [4 per cell]
Ni 0.212 0.000 0.809 [4 per cell]
N 0.036 0.500 0.235 [4 per cell]
N 0.099 0.000 0.931 [4 per cell]
N 0.150 0.000 0.475 [4 per cell]
N 0.205 0.500 0.826 [4 per cell]

Top 6 peaks for 15 to 90 degrees two-theta, sorted by position:
| 2θ/deg | I (rel.) | h k l |
| --- | --- | --- |
| 34.35 | 19 | 4 0 -2 |
| 37.78 | 68 | 1 1 -2 |
| 40.82 | 38 | 1 1 2 |
| 43.69 | 100 | 0 2 0 |
| 44.77 | 28 | 6 0 1 |
| 66.86 | 18 | 0 0 4 |